Structure and computed X-ray diffraction stick pattern of Pm15SmTm4 (the GGA-PBE geometry in Alexandria; Cu Kα).
Peak positions follow from Bragg's law for the DFT cell and can differ from measured ones.

Top 10 peaks for 2θ from 10° to 90°, sorted by position:
Position (°2θ)  Rel. int.  (hkl)
30.3  100  1 1 5
35.1  34  2 0 0
35.2  17  0 0 10
50.5  36  2 2 0
60.0  29  3 1 5
60.1  14  1 1 15
63.0  12  2 2 10
82.1  6  3 3 5
82.3  12  3 1 15
84.7  6  4 2 0

Cell and atoms:
```
data_Pm15SmTm4
_chemical_formula_sum 'Pm15 Sm1 Tm4'
_cell_length_a 5.1179
_cell_length_b 5.1179
_cell_length_c 25.4955
_cell_angle_alpha 90.00
_cell_angle_beta 90.00
_cell_angle_gamma 90.00
_symmetry_space_group_name_H-M 'P 4/m m m'
_symmetry_Int_Tables_number 123
_symmetry_space_group_name_Hall '-P 4 2'
loop_
_atom_site_label
_atom_site_fract_x
_atom_site_fract_y
_atom_site_fract_z
Pm1 0.0000 0.0000 0.0000
Pm2 0.0000 0.0000 0.2015
Pm3 0.0000 0.0000 0.4004
Pm4 0.0000 0.5000 0.1015
Pm5 0.0000 0.5000 0.3007
Pm6 0.0000 0.5000 0.5000
Sm1 0.5000 0.5000 0.0000
Tm1 0.5000 0.5000 0.2012
Tm2 0.5000 0.5000 0.4004
```

=====

Structure and computed X-ray diffraction stick pattern of PmSm6Tm3 (the GGA-PBE geometry in Alexandria; Cu Kα).
Peak positions follow from Bragg's law for the DFT cell and can differ from measured ones.

Top 10 peaks for 2θ from 10° to 90°, sorted by position:
Position (°2θ)  Rel. int.  (hkl)
28.5  65  2 4 1
28.8  40  0 6 1
30.9  63  1 7 0
31.2  100  3 1 1
32.0  59  1 3 2
32.6  43  0 4 2
33.4  67  3 3 1
34.3  28  2 6 1
56.1  41  5 7 0
56.7  33  6 0 0

Cell and atoms:
```
data_PmSm6Tm3
_chemical_formula_sum 'Pm4 Sm24 Tm12'
_cell_length_a 9.7420
_cell_length_b 21.1982
_cell_length_c 6.4188
_cell_angle_alpha 90.00
_cell_angle_beta 90.00
_cell_angle_gamma 90.00
_symmetry_space_group_name_H-M 'C m c 21'
_symmetry_Int_Tables_number 36
loop_
_symmetry_equiv_pos_as_xyz
'x,y,z'
'-x,-y,z+1/2'
'-x,y,z'
'x,-y,z+1/2'
'x+1/2,y+1/2,z'
'-x+1/2,-y+1/2,z+1/2'
'-x+1/2,y+1/2,z'
'x+1/2,-y+1/2,z+1/2'
loop_
_atom_site_label
_atom_site_fract_x
_atom_site_fract_y
_atom_site_fract_z
Pm1 0.0000 0.1591 0.0000
Sm1 0.0000 0.0155 0.7966
Sm2 0.0000 0.3011 0.7875
Sm3 0.1746 0.2809 0.3190
Sm4 0.1790 0.4414 0.5678
Tm1 0.0000 0.4184 0.0891
Tm2 0.1689 0.1258 0.4789
```

=====

Structure and computed X-ray diffraction stick pattern of Pm4SmTm (the GGA-PBE geometry in Alexandria; Cu Kα).
Peak positions follow from Bragg's law for the DFT cell and can differ from measured ones.

Top 10 peaks for 2θ from 10° to 90°, sorted by position:
Position (°2θ)  Rel. int.  (hkl)
28.9  19  0 0 2
30.8  33  2 0 0
31.8  100  1 6 1
33.1  27  1 1 2
42.8  13  2 0 2
48.2  9  0 12 0
55.4  21  3 6 1
58.3  10  2 12 0
62.3  15  2 7 3
79.5  9  1 18 1

Cell and atoms:
```
data_Pm4SmTm
_chemical_formula_sum 'Pm16 Sm4 Tm4'
_cell_length_a 5.8081
_cell_length_b 22.6532
_cell_length_c 6.1731
_cell_angle_alpha 90.00
_cell_angle_beta 90.00
_cell_angle_gamma 90.00
_symmetry_space_group_name_H-M 'I m m a'
_symmetry_Int_Tables_number 74
_symmetry_space_group_name_Hall '-I 2b 2'
loop_
_atom_site_label
_atom_site_fract_x
_atom_site_fract_y
_atom_site_fract_z
Pm1 0.0000 0.0897 0.0592
Pm2 0.0000 0.1694 0.5744
Sm1 0.0000 0.0000 0.5000
Tm1 0.0000 0.2500 0.0788
```

=====

Structure and computed X-ray diffraction stick pattern of Pm12Sm2Tm (the GGA-PBE geometry in Alexandria; Cu Kα).
Peak positions follow from Bragg's law for the DFT cell and can differ from measured ones.

Top 10 peaks for 2θ from 10° to 90°, sorted by position:
Position (°2θ)  Rel. int.  (hkl)
20.4  22  1 1 2
28.1  41  2 0 2
29.2  30  2 0 3
30.7  36  2 0 4
31.3  100  1 1 7
31.7  30  0 0 9
33.7  25  2 1 4
35.4  23  2 1 5
38.9  30  2 2 0
55.0  26  3 1 9

Cell and atoms:
```
data_Pm12Sm2Tm
_chemical_formula_sum 'Pm24 Sm4 Tm2'
_cell_length_a 6.5484
_cell_length_b 6.5484
_cell_length_c 25.3744
_cell_angle_alpha 90.00
_cell_angle_beta 90.00
_cell_angle_gamma 90.00
_symmetry_space_group_name_H-M 'P 4/n b m'
_symmetry_Int_Tables_number 125
loop_
_symmetry_equiv_pos_as_xyz
'x,y,z'
'-x,-y,-z'
'-y+1/2,x,z'
'y+1/2,-x,-z'
'-x+1/2,-y+1/2,z'
'x+1/2,y+1/2,-z'
'y,-x+1/2,z'
'-y,x+1/2,-z'
'x,-y+1/2,-z'
'-x,y+1/2,z'
'-y+1/2,-x+1/2,-z'
'y+1/2,x+1/2,z'
'-x+1/2,y,-z'
'x+1/2,-y,z'
'y,x,-z'
'-y,-x,z'
loop_
_atom_site_label
_atom_site_fract_x
_atom_site_fract_y
_atom_site_fract_z
Pm1 0.0652 0.5652 0.1132
Pm2 0.0825 0.5825 0.5622
Pm3 0.2500 0.2500 0.2142
Pm4 0.2500 0.2500 0.3374
Sm1 0.2500 0.7500 0.2687
Tm1 0.2500 0.7500 0.0000
```

=====

Structure and computed X-ray diffraction stick pattern of Pm3Sm3Tm5 (the GGA-PBE geometry in Alexandria; Cu Kα).
Peak positions follow from Bragg's law for the DFT cell and can differ from measured ones.

Top 10 peaks for 2θ from 10° to 90°, sorted by position:
Position (°2θ)  Rel. int.  (hkl)
10.6  28  1 0 0
16.0  61  0 0 1
26.8  44  2 0 1
28.4  25  2 1 0
32.3  100  0 0 2
32.7  75  2 1 1
36.2  60  3 0 1
42.4  32  3 1 1
46.3  39  3 0 2
60.1  30  3 3 1

Cell and atoms:
```
data_Pm3Sm3Tm5
_chemical_formula_sum 'Pm3 Sm3 Tm5'
_cell_length_a 9.6072
_cell_length_b 9.6072
_cell_length_c 5.5563
_cell_angle_alpha 90.00
_cell_angle_beta 90.00
_cell_angle_gamma 120.00
_symmetry_space_group_name_H-M 'P -6 2 m'
_symmetry_Int_Tables_number 189
_symmetry_space_group_name_Hall 'P -6 -2'
loop_
_atom_site_label
_atom_site_fract_x
_atom_site_fract_y
_atom_site_fract_z
Pm1 0.0000 0.4318 0.0000
Sm1 0.0000 0.6310 0.5000
Tm1 0.0000 0.2683 0.5000
Tm2 0.3333 0.6667 0.5000
```

=====

Structure and computed X-ray diffraction stick pattern of Pm6SmTm4 (the GGA-PBE geometry in Alexandria; Cu Kα).
Peak positions follow from Bragg's law for the DFT cell and can differ from measured ones.

Top 10 peaks for 2θ from 10° to 90°, sorted by position:
Position (°2θ)  Rel. int.  (hkl)
28.2  38  1 1 4
28.8  59  2 0 2
29.4  29  1 0 5
30.5  100  2 1 1
31.5  24  0 0 6
34.2  72  2 0 4
36.9  33  1 1 6
38.3  28  2 2 0
40.2  35  2 1 5
57.4  49  1 1 10

Cell and atoms:
```
data_Pm6SmTm4
_chemical_formula_sum 'Pm12 Sm2 Tm8'
_cell_length_a 6.6503
_cell_length_b 6.6503
_cell_length_c 17.0648
_cell_angle_alpha 90.00
_cell_angle_beta 90.00
_cell_angle_gamma 90.00
_symmetry_space_group_name_H-M 'I -4 2 m'
_symmetry_Int_Tables_number 121
_symmetry_space_group_name_Hall 'I -4 2'
loop_
_atom_site_label
_atom_site_fract_x
_atom_site_fract_y
_atom_site_fract_z
Pm1 0.0000 0.5000 0.0000
Pm2 0.1894 0.1894 0.1767
Sm1 0.0000 0.0000 0.0000
Tm1 0.1793 0.1793 0.3738
```

=====

Structure and computed X-ray diffraction stick pattern of Pm10SmTm4 (the GGA-PBE geometry in Alexandria; Cu Kα).
Peak positions follow from Bragg's law for the DFT cell and can differ from measured ones.

Top 10 peaks for 2θ from 10° to 90°, sorted by position:
Position (°2θ)  Rel. int.  (hkl)
21.6  18  2 1 1
26.4  25  1 0 3
28.4  79  3 1 0
30.4  15  2 2 2
32.0  100  2 1 3
33.0  35  3 1 2
40.6  28  2 4 0
41.3  23  2 3 3
59.2  20  1 3 6
65.5  15  5 4 3

Cell and atoms:
```
data_Pm10SmTm4
_chemical_formula_sum 'Pm20 Sm2 Tm8'
_cell_length_a 9.9420
_cell_length_b 9.9420
_cell_length_c 10.7826
_cell_angle_alpha 90.00
_cell_angle_beta 90.00
_cell_angle_gamma 90.00
_symmetry_space_group_name_H-M 'I 4/m'
_symmetry_Int_Tables_number 87
_symmetry_space_group_name_Hall '-I 4'
loop_
_atom_site_label
_atom_site_fract_x
_atom_site_fract_y
_atom_site_fract_z
Pm1 0.0000 0.5000 0.2500
Pm2 0.1193 0.2256 0.1690
Sm1 0.0000 0.0000 0.0000
Tm1 0.0557 0.2778 0.5000
```

=====

Structure and computed X-ray diffraction stick pattern of Pm5Sm3Tm (the GGA-PBE geometry in Alexandria; Cu Kα).
Peak positions follow from Bragg's law for the DFT cell and can differ from measured ones.

Top 10 peaks for 2θ from 10° to 90°, sorted by position:
Position (°2θ)  Rel. int.  (hkl)
15.1  65  0 2 0
23.5  29  2 2 -2
28.7  37  2 2 1
30.3  33  4 0 0
30.6  100  0 4 0
31.9  73  1 1 -3
32.1  99  5 1 -3
34.0  72  4 2 0
38.8  47  1 3 -3
39.0  48  5 3 -3

Cell and atoms:
```
data_Pm5Sm3Tm
_chemical_formula_sum 'Pm20 Sm12 Tm4'
_cell_length_a 15.3519
_cell_length_b 11.6997
_cell_length_c 9.8993
_cell_angle_alpha 90.00
_cell_angle_beta 129.72
_cell_angle_gamma 90.00
_symmetry_space_group_name_H-M 'C 1 2/m 1'
_symmetry_Int_Tables_number 12
loop_
_symmetry_equiv_pos_as_xyz
'x,y,z'
'-x,-y,-z'
'-x,y,-z'
'x,-y,z'
'x+1/2,y+1/2,z'
'-x+1/2,-y+1/2,-z'
'-x+1/2,y+1/2,-z'
'x+1/2,-y+1/2,z'
loop_
_atom_site_label
_atom_site_fract_x
_atom_site_fract_y
_atom_site_fract_z
Pm1 0.0000 0.2472 0.0000
Pm2 0.1510 0.2472 0.7377
Pm3 0.2255 0.5000 0.0469
Pm4 0.2268 0.0000 0.2319
Sm1 0.0000 0.0000 0.5000
Sm2 0.0000 0.5000 0.0000
Sm3 0.0062 0.0000 0.8190
Sm4 0.0146 0.5000 0.3511
Tm1 0.2489 0.5000 0.4047
```

=====

Structure and computed X-ray diffraction stick pattern of PmSm10Tm6 (the GGA-PBE geometry in Alexandria; Cu Kα).
Peak positions follow from Bragg's law for the DFT cell and can differ from measured ones.

Top 10 peaks for 2θ from 10° to 90°, sorted by position:
Position (°2θ)  Rel. int.  (hkl)
30.9  39  3 -1 1
31.8  81  3 0 0
32.0  100  1 1 2
40.8  10  4 -1 1
45.7  26  4 -2 2
48.9  13  3 2 1
56.8  26  4 1 2
57.0  19  2 -1 4
59.5  10  6 -2 1
62.8  11  6 -1 1

Cell and atoms:
```
data_PmSm10Tm6
_chemical_formula_sum 'Pm1 Sm10 Tm6'
_cell_length_a 9.7418
_cell_length_b 9.7418
_cell_length_c 6.8449
_cell_angle_alpha 90.00
_cell_angle_beta 90.00
_cell_angle_gamma 120.00
_symmetry_space_group_name_H-M 'P -3 1 m'
_symmetry_Int_Tables_number 162
_symmetry_space_group_name_Hall '-P 3 2'
loop_
_atom_site_label
_atom_site_fract_x
_atom_site_fract_y
_atom_site_fract_z
Pm1 0.0000 0.0000 0.0000
Sm1 0.0000 0.2781 0.3187
Sm2 0.3333 0.6667 0.0000
Sm3 0.3333 0.6667 0.5000
Tm1 0.0000 0.3710 0.8107
```

=====

Structure and computed X-ray diffraction stick pattern of Pm12SmTm5 (the GGA-PBE geometry in Alexandria; Cu Kα).
Peak positions follow from Bragg's law for the DFT cell and can differ from measured ones.

Top 10 peaks for 2θ from 10° to 90°, sorted by position:
Position (°2θ)  Rel. int.  (hkl)
31.2  64  1 0 3
31.4  100  2 0 0
44.8  9  2 1 -3
44.9  15  2 3 3
52.0  7  0 2 6
55.7  20  3 0 3
55.8  16  3 3 0
55.9  11  0 6 0
62.0  16  2 2 6
62.2  8  1 5 6

Cell and atoms:
```
data_Pm12SmTm5
_chemical_formula_sum 'Pm12 Sm1 Tm5'
_cell_length_a 5.7105
_cell_length_b 10.4546
_cell_length_c 10.5427
_cell_angle_alpha 70.55
_cell_angle_beta 89.99
_cell_angle_gamma 90.00
_symmetry_space_group_name_H-M 'P -1'
_symmetry_Int_Tables_number 2
loop_
_symmetry_equiv_pos_as_xyz
'x,y,z'
'-x,-y,-z'
loop_
_atom_site_label
_atom_site_fract_x
_atom_site_fract_y
_atom_site_fract_z
Pm1 0.0001 0.0043 0.3315
Pm2 0.0006 0.3321 0.0533
Pm3 0.0010 0.6744 0.2749
Pm4 0.4991 0.1715 0.7795
Pm5 0.4999 0.1669 0.4463
Pm6 0.5001 0.4949 0.1681
Sm1 0.5000 0.5000 0.5000
Tm1 0.0000 0.0000 0.0000
Tm2 0.9999 0.3389 0.3864
Tm3 0.4994 0.8404 0.8870
```

=====

Structure and computed X-ray diffraction stick pattern of Pm2Sm5Tm3 (the GGA-PBE geometry in Alexandria; Cu Kα).
Peak positions follow from Bragg's law for the DFT cell and can differ from measured ones.

Top 10 peaks for 2θ from 10° to 90°, sorted by position:
Position (°2θ)  Rel. int.  (hkl)
30.1  33  2 2 1
30.3  100  2 2 -3
32.1  17  0 4 2
33.1  32  4 0 -2
36.1  8  0 6 1
37.8  7  2 0 2
38.1  20  2 0 -4
48.9  13  0 6 3
57.5  13  4 0 2
58.0  10  4 0 -6

Cell and atoms:
```
data_Pm2Sm5Tm3
_chemical_formula_sum 'Pm8 Sm20 Tm12'
_cell_length_a 10.8112
_cell_length_b 15.7435
_cell_length_c 9.5576
_cell_angle_alpha 90.00
_cell_angle_beta 124.04
_cell_angle_gamma 90.00
_symmetry_space_group_name_H-M 'C 1 2/c 1'
_symmetry_Int_Tables_number 15
loop_
_symmetry_equiv_pos_as_xyz
'x,y,z'
'-x,-y,-z'
'-x,y,-z+1/2'
'x,-y,z+1/2'
'x+1/2,y+1/2,z'
'-x+1/2,-y+1/2,-z'
'-x+1/2,y+1/2,-z+1/2'
'x+1/2,-y+1/2,z+1/2'
loop_
_atom_site_label
_atom_site_fract_x
_atom_site_fract_y
_atom_site_fract_z
Pm1 0.1420 0.1223 0.0495
Sm1 0.0000 0.2315 0.2500
Sm2 0.0000 0.2702 0.7500
Sm3 0.0000 0.4673 0.7500
Sm4 0.2317 0.3855 0.2181
Tm1 0.0000 0.0256 0.2500
Tm2 0.1583 0.3815 0.5458
```